Starting from a cell relaxed with GGA-PBE, the powder XRD pattern of Ba3Os3N5 was simulated for Cu Kα (λ = 1.5418 Å).
Neutral-atom scattering factors, no anomalous dispersion.

Peak list (6 most intense, 15 to 90 degrees two-theta, sorted by position)
27.7 deg, I = 37, (1 -1 2); 28.7 deg, I = 51, (0 2 1); 29.4 deg, I = 100, (1 0 -3); 31.1 deg, I = 72, (-2 1 1); 36.8 deg, I = 29, (1 -3 2); 37.5 deg, I = 26, (2 1 0)

Structure:
```
data_Ba3Os3N5
_chemical_formula_sum 'Ba6 Os6 N10'
_space_group_name_H-M_alt 'P -1'
_space_group_IT_number 2
_cell_length_a 5.912
_cell_length_b 8.222
_cell_length_c 9.766
_cell_angle_alpha 107.18
_cell_angle_beta 105.57
_cell_angle_gamma 98.93
loop_
_space_group_symop_operation_xyz
'x,y,z'
'-x,-y,-z'
loop_
_atom_site_label
_atom_site_type_symbol
_atom_site_fract_x
_atom_site_fract_y
_atom_site_fract_z
Ba1 Ba 0.133 0.338 0.402
Ba2 Ba 0.210 0.238 0.751
Ba3 Ba 0.272 0.923 0.103
Os1 Os 0.122 0.464 0.124
Os2 Os 0.395 0.843 0.487
Os3 Os 0.463 0.662 0.810
N1 N 0.208 0.235 0.039
N2 N 0.208 0.606 0.875
N3 N 0.224 0.654 0.307
N4 N 0.258 0.018 0.398
N5 N 0.419 0.708 0.631
```